This entry pairs a crystal structure of MnTePb2 with its theoretical PXRD pattern. Radiation: Cu Kα. Structure: a DFT-relaxed cell (PBE, Alexandria).
Peak positions follow from Bragg's law for the DFT cell and can differ from measured ones.

Top 10 peaks for 2θ from 10° to 80°, in order of falling intensity:
- 2θ = 31.04°, d 2.881, rel. 100
- 2θ = 42.91°, d 2.108, rel. 83
- 2θ = 28.88°, d 3.092, rel. 60
- 2θ = 33.01°, d 2.714, rel. 43
- 2θ = 44.42°, d 2.039, rel. 38
- 2θ = 16.33°, d 5.427, rel. 32
- 2θ = 65.82°, d 1.419, rel. 24
- 2θ = 68.94°, d 1.362, rel. 21
- 2θ = 72.37°, d 1.306, rel. 18
- 2θ = 57.73°, d 1.597, rel. 17

Atomic structure:
```
MnTePb2
1.0
0.0000 3.4001 5.4271
3.0916 0.0000 5.4271
3.0916 3.4001 0.0000
Mn Te Pb
1 1 2
Direct
0.0000 0.0000 0.0000
0.5000 0.5000 0.5000
0.0000 0.5000 0.5000
0.5000 0.0000 0.0000
```